# Zr3Co6Si5
Calculated X-ray diffraction stick pattern, Cu Kα (weighted mean of Kα1 and Kα2). Input: a DFT-relaxed cell (PBE, Alexandria).

Atomic structure:
```
Zr3Co6Si5
1.0
3.792 0.000 0.000
0.000 11.597 0.000
0.000 0.000 8.538
Zr Co Si
6 12 10
Cartesian
0.948 0.669 2.074 Zr
0.948 5.130 2.074 Zr
0.948 8.698 2.159 Zr
2.844 2.899 6.379 Zr
2.844 6.468 6.463 Zr
2.844 10.928 6.463 Zr
0.948 0.752 5.009 Co
0.948 2.899 0.245 Co
0.948 2.899 3.443 Co
0.948 5.046 5.009 Co
0.948 6.826 8.436 Co
0.948 10.570 8.436 Co
2.844 1.027 0.102 Co
2.844 4.772 0.102 Co
2.844 6.551 3.528 Co
2.844 8.698 5.095 Co
2.844 8.698 8.293 Co
2.844 10.845 3.528 Co
0.948 1.095 7.344 Si
0.948 4.704 7.344 Si
0.948 7.303 4.534 Si
0.948 8.698 6.899 Si
0.948 10.093 4.534 Si
2.844 1.504 4.004 Si
2.844 2.899 1.638 Si
2.844 4.295 4.004 Si
2.844 6.893 1.194 Si
2.844 10.503 1.194 Si
```

Largest 10 diffraction maxima, low angle first, 10 to 80 degrees two-theta:
25.70 deg, intensity 20.3, (1 0 1); 39.31 deg, intensity 42.3, (0 3 3); 39.41 deg, intensity 100.0, (1 3 2); 39.59 deg, intensity 32.7, (1 0 3); 40.57 deg, intensity 14.6, (1 4 1); 42.67 deg, intensity 23.4, (1 2 3); 46.29 deg, intensity 16.3, (1 3 3); 47.01 deg, intensity 24.8, (0 6 0); 47.98 deg, intensity 39.4, (2 0 0); 63.70 deg, intensity 19.0, (2 3 3)

# MgCd4AgAu2
Calculated X-ray diffraction stick pattern, Cu Kα (weighted mean of Kα1 and Kα2). Input: a DFT-relaxed cell (PBE, Alexandria).

Atomic structure:
```
MgCd4AgAu2
1.0
4.120 0.000 0.000
0.000 4.120 0.000
0.000 0.000 10.713
Mg Cd Ag Au
1 4 1 2
Cartesian
0.000 0.000 0.000 Mg
0.000 2.060 3.340 Cd
0.000 2.060 7.373 Cd
2.060 0.000 3.340 Cd
2.060 0.000 7.373 Cd
0.000 0.000 5.357 Ag
2.060 2.060 1.319 Au
2.060 2.060 9.394 Au
```

Largest 10 diffraction maxima, low angle first, 10 to 80 degrees two-theta:
21.57 deg, intensity 25.4, (1 0 0); 23.13 deg, intensity 92.2, (1 0 1); 31.84 deg, intensity 41.9, (1 1 1); 35.07 deg, intensity 53.5, (1 1 2); 39.94 deg, intensity 100.0, (1 1 3); 40.16 deg, intensity 46.6, (1 0 4); 43.96 deg, intensity 61.8, (2 0 0); 61.05 deg, intensity 27.1, (2 1 4); 62.55 deg, intensity 28.0, (2 0 5); 78.09 deg, intensity 27.2, (3 1 3)

# Np3PbS6
Calculated X-ray diffraction stick pattern, Cu Kα (weighted mean of Kα1 and Kα2). Input: a DFT-relaxed cell (PBE, Alexandria).

Atomic structure:
```
Np3PbS6
1.0
11.034 0.000 0.000
0.000 4.099 0.000
-3.540 0.000 10.879
Np Pb S
6 2 12
Cartesian
-0.418 1.025 1.844 Np
0.235 3.075 5.639 Np
0.464 1.025 10.079 Np
7.031 3.075 0.800 Np
7.260 1.025 5.240 Np
7.913 3.075 9.035 Np
3.387 1.025 3.481 Pb
4.108 3.075 7.399 Pb
-1.056 1.025 4.489 S
-2.193 1.025 10.606 S
1.191 3.075 2.967 S
-0.104 3.075 8.435 S
2.159 1.025 6.075 S
4.347 3.075 0.991 S
3.148 1.025 9.889 S
5.336 3.075 4.804 S
7.598 1.025 2.444 S
6.304 1.025 7.912 S
9.688 3.075 0.273 S
8.551 3.075 6.390 S
```

Largest 10 diffraction maxima, low angle first, 10 to 80 degrees two-theta:
23.34 deg, intensity 100.0, (1 0 -3); 24.20 deg, intensity 81.7, (3 0 -1); 25.59 deg, intensity 69.4, (1 1 1); 27.00 deg, intensity 94.3, (2 0 2); 27.61 deg, intensity 54.9, (2 1 0); 30.33 deg, intensity 37.1, (2 1 1); 36.02 deg, intensity 40.2, (1 1 3); 44.19 deg, intensity 38.7, (0 2 0); 45.63 deg, intensity 39.5, (2 1 -5); 48.33 deg, intensity 35.5, (4 1 2)